This entry pairs a crystal structure of NbInSe2 with its computed powder diffractogram. Radiation: Cu Kα (λ = 1.5418 Å). Structure: a DFT-relaxed cell (PBE, the Materials Project).
Neutral-atom scattering factors, no anomalous dispersion.

Principal peaks in the range 2θ = 15–90°, in order of falling intensity:
2theta, I (rel.)
36.20, 100
52.11, 43
29.36, 37
65.06, 17
87.92, 15
31.23, 15
43.42, 11
69.12, 10
42.12, 8
88.07, 7

Crystal structure
a b c (Å): 3.5127 3.5127 8.5816
angles (deg): 90.00 90.00 120.00
Space group P-6m2 (No. 187)
Symmetry-distinct sites (fractional):
Nb 0.0000 0.0000 0.0000 x1
In 0.0000 0.0000 0.5000 x1
Se 0.3333 0.6667 0.1960 x2